Diffraction record for TbPr5Tm6. The X-ray diffraction stick pattern is simulated, not measured: it uses a crystal structure in Alexandria, relaxed with PBE and Cu Kα X-rays.

Most intense lines, 2θ from 10° to 80°, sorted by position:
30.5 deg, intensity 100
35.1 deg, intensity 35
36.0 deg, intensity 16
60.1 deg, intensity 15
60.2 deg, intensity 15
61.4 deg, intensity 14

Atomic structure:
Cell lengths 9.499, 9.499, 9.499 Å; angles 148.73, 116.64, 72.35 degrees
Fractional coordinates of all 12 atoms:
Tb (0.000, 0.000, 0.000)
Pr (0.165, 0.665, 0.500)
Pr (0.333, 0.333, 0.000)
Pr (0.500, 0.000, 0.500)
Pr (0.667, 0.667, 0.000)
Pr (0.835, 0.335, 0.500)
Tm (0.083, 0.834, 0.249)
Tm (0.249, 0.500, 0.749)
Tm (0.416, 0.166, 0.249)
Tm (0.584, 0.834, 0.751)
Tm (0.751, 0.500, 0.251)
Tm (0.917, 0.166, 0.751)